# 1
For Nd7In2N, a PBE-relaxed structure gives the theoretical PXRD pattern in this record (Cu Kα, 1.54184 Å).

The 10 most intense peaks (15° ≤ 2θ ≤ 90°), sorted by position:
2θ (°)  Rel. int.
16.82  17
29.34  100
34.01  91
37.17  17
48.86  61
58.02  38
60.87  20
68.33  11
79.19  13
81.68  23

Atomic structure:
```
Nd7In2N
1.0
0.0000 5.2721 5.2721
5.2721 0.0000 5.2721
5.2721 5.2721 0.0000
Nd In N
7 2 1
Direct
0.0000 0.0000 0.0000 Nd
0.2693 0.2693 0.7307 Nd
0.2693 0.7307 0.2693 Nd
0.2693 0.7307 0.7307 Nd
0.7307 0.2693 0.2693 Nd
0.7307 0.2693 0.7307 Nd
0.7307 0.7307 0.2693 Nd
0.2500 0.2500 0.2500 In
0.7500 0.7500 0.7500 In
0.5000 0.5000 0.5000 N
```

***

# 2
For PmNd12In4N3, a PBE-relaxed structure gives the theoretical PXRD pattern in this record (Cu Kα, 1.54184 Å).

The 10 most intense peaks (15° ≤ 2θ ≤ 90°), sorted by position:
2θ (°)  Rel. int.
17.24  8
30.09  100
32.57  7
34.88  71
50.16  48
59.61  39
62.55  16
73.66  7
81.58  14
84.17  19

Atomic structure:
```
PmNd12In4N3
1.0
-5.1440 5.1440 5.1440
5.1440 -5.1440 5.1440
5.1440 5.1440 -5.1440
Pm Nd In N
1 12 4 3
Direct
0.0000 0.0000 0.0000 Pm
0.0000 0.2746 0.2746 Nd
0.0000 0.7254 0.7254 Nd
0.2500 0.5000 0.7500 Nd
0.2500 0.7500 0.5000 Nd
0.2746 0.0000 0.2746 Nd
0.2746 0.2746 0.0000 Nd
0.5000 0.2500 0.7500 Nd
0.5000 0.7500 0.2500 Nd
0.7254 0.0000 0.7254 Nd
0.7254 0.7254 0.0000 Nd
0.7500 0.2500 0.5000 Nd
0.7500 0.5000 0.2500 Nd
0.0000 0.0000 0.5000 In
0.0000 0.5000 0.0000 In
0.5000 0.0000 0.0000 In
0.5000 0.5000 0.5000 In
0.0000 0.5000 0.5000 N
0.5000 0.0000 0.5000 N
0.5000 0.5000 0.0000 N
```

***

# 3
For In3Ni9N2, a PBE-relaxed structure gives the theoretical PXRD pattern in this record (Cu Kα, 1.54184 Å).

The 10 most intense peaks (15° ≤ 2θ ≤ 90°), sorted by position:
2θ (°)  Rel. int.
38.73  31
40.57  93
41.07  57
43.50  100
47.35  61
51.97  17
68.86  37
69.55  17
76.51  17
83.42  39

Atomic structure:
```
In3Ni9N2
1.0
5.4543 0.0000 0.0000
-2.7272 4.7236 0.0000
0.0000 0.0000 13.1865
In Ni N
6 18 4
Direct
0.0000 0.0000 0.2500 In
0.0000 0.0000 0.7500 In
0.3333 0.6667 0.0884 In
0.3333 0.6667 0.4116 In
0.6667 0.3333 0.5884 In
0.6667 0.3333 0.9116 In
0.0149 0.5075 0.7500 Ni
0.1637 0.3274 0.5798 Ni
0.1637 0.3274 0.9202 Ni
0.1637 0.8363 0.5798 Ni
0.1637 0.8363 0.9202 Ni
0.3274 0.1637 0.0798 Ni
0.3274 0.1637 0.4202 Ni
0.4925 0.5075 0.7500 Ni
0.4925 0.9851 0.7500 Ni
0.5075 0.0149 0.2500 Ni
0.5075 0.4925 0.2500 Ni
0.6726 0.8363 0.5798 Ni
0.6726 0.8363 0.9202 Ni
0.8363 0.1637 0.0798 Ni
0.8363 0.1637 0.4202 Ni
0.8363 0.6726 0.0798 Ni
0.8363 0.6726 0.4202 Ni
0.9851 0.4925 0.2500 Ni
0.3333 0.6667 0.6511 N
0.3333 0.6667 0.8489 N
0.6667 0.3333 0.1511 N
0.6667 0.3333 0.3489 N
```

***

# 4
For In3Ni7N, a PBE-relaxed structure gives the theoretical PXRD pattern in this record (Cu Kα, 1.54184 Å).

The 10 most intense peaks (15° ≤ 2θ ≤ 90°), sorted by position:
2θ (°)  Rel. int.
34.25  24
36.89  19
38.44  73
42.71  100
47.95  18
50.84  14
51.21  12
61.66  15
81.03  15
83.91  19

Atomic structure:
```
In3Ni7N
1.0
7.4047 0.0000 0.0000
0.0000 7.4047 0.0000
0.0000 0.0000 5.5064
In Ni N
6 14 2
Direct
0.0000 0.0000 0.0000 In
0.1732 0.3268 0.5000 In
0.3268 0.8268 0.5000 In
0.5000 0.5000 0.0000 In
0.6732 0.1732 0.5000 In
0.8268 0.6732 0.5000 In
0.0000 0.0000 0.5000 Ni
0.1248 0.6248 0.2414 Ni
0.1248 0.6248 0.7586 Ni
0.1759 0.3241 0.0000 Ni
0.3241 0.8241 0.0000 Ni
0.3752 0.1248 0.2414 Ni
0.3752 0.1248 0.7586 Ni
0.5000 0.5000 0.5000 Ni
0.6248 0.8752 0.2414 Ni
0.6248 0.8752 0.7586 Ni
0.6759 0.1759 0.0000 Ni
0.8241 0.6759 0.0000 Ni
0.8752 0.3752 0.2414 Ni
0.8752 0.3752 0.7586 Ni
0.0000 0.5000 0.0000 N
0.5000 0.0000 0.0000 N
```